[1]
Calculated powder X-ray diffraction pattern
Compound: MgFe8O8F8
Radiation: CuKα
Structure: a GGA+U-relaxed structure

Top 10 peaks for 10 to 90 degrees two-theta, by angle:
2θ 11.7, rel. 20, (1 0 -1)
2θ 23.5, rel. 88, (2 0 -2)
2θ 26.5, rel. 100, (2 0 2)
2θ 34.4, rel. 79, (2 1 0)
2θ 37.9, rel. 18, (2 1 -2)
2θ 40.3, rel. 24, (3 1 -1)
2θ 48.7, rel. 19, (2 1 -4)
2θ 52.0, rel. 23, (2 1 4)
2θ 52.1, rel. 22, (4 1 2)
2θ 60.7, rel. 17, (0 2 0)

Structural model:
```
data_MgFe8O8F8
_chemical_formula_sum 'Mg1 Fe8 O8 F8'
_space_group_name_H-M_alt 'P 1 m 1'
_space_group_IT_number 6
_space_group_name_Hall 'P -2y'
_cell_length_a 10.0806
_cell_length_b 3.0533
_cell_length_c 10.1366
_cell_angle_alpha 90.00
_cell_angle_beta 96.74
_cell_angle_gamma 90.00
loop_
_atom_site_label
_atom_site_type_symbol
_atom_site_fract_x
_atom_site_fract_y
_atom_site_fract_z
Mg1 Mg 0.0000 0.0000 0.0000
Fe1 Fe 0.0710 0.5000 0.4215
Fe2 Fe 0.1581 0.5000 0.8438
Fe3 Fe 0.3573 0.0000 0.1204
Fe4 Fe 0.3717 0.0000 0.6520
Fe5 Fe 0.5674 0.5000 0.9129
Fe6 Fe 0.5983 0.5000 0.4033
Fe7 Fe 0.8413 0.0000 0.1843
Fe8 Fe 0.8814 0.0000 0.6472
O1 O 0.0051 0.0000 0.3244
O2 O 0.0246 0.0000 0.8004
O3 O 0.2036 0.0000 0.9776
O4 O 0.2804 0.5000 0.7202
O5 O 0.4470 0.5000 0.0422
O6 O 0.5149 0.0000 0.7968
O7 O 0.9227 0.5000 0.0725
O8 O 0.9618 0.5000 0.5618
F1 F 0.2165 0.0000 0.4937
F2 F 0.2700 0.5000 0.2116
F3 F 0.4576 0.5000 0.5463
F4 F 0.4887 0.0000 0.2963
F5 F 0.6817 0.0000 0.0039
F6 F 0.7070 0.0000 0.5120
F7 F 0.7275 0.5000 0.2667
F8 F 0.7887 0.5000 0.7357
```

[2]
Calculated powder X-ray diffraction pattern
Compound: Li2Ni3SnO8
Radiation: CuKα
Structure: a GGA+U-relaxed structure

Top 10 peaks for 10 to 90 degrees two-theta, by angle:
2θ 17.8, rel. 15, (0 1 -1)
2θ 18.5, rel. 100, (0 1 1)
2θ 18.6, rel. 48, (1 0 1)
2θ 35.2, rel. 12, (1 2 -1)
2θ 35.9, rel. 18, (2 1 -1)
2θ 36.2, rel. 19, (0 2 -2)
2θ 41.9, rel. 30, (2 -2 0)
2θ 43.8, rel. 26, (2 2 0)
2θ 44.0, rel. 25, (0 0 4)
2θ 63.1, rel. 17, (4 0 0)

Structural model:
```
data_Li2Ni3SnO8
_chemical_formula_sum 'Li4 Ni6 Sn2 O16'
_space_group_name_H-M_alt 'P -1'
_space_group_IT_number 2
_space_group_name_Hall '-P 1'
_cell_length_a 5.8954
_cell_length_b 6.0631
_cell_length_c 8.2470
_cell_angle_alpha 92.21
_cell_angle_beta 90.48
_cell_angle_gamma 92.37
loop_
_atom_site_label
_atom_site_type_symbol
_atom_site_fract_x
_atom_site_fract_y
_atom_site_fract_z
Li1 Li 0.2434 0.4923 0.1369
Li2 Li 0.2531 0.0082 0.3692
Ni1 Ni 0.0000 0.0000 0.0000
Ni2 Ni 0.0000 0.5000 0.5000
Ni3 Ni 0.2437 0.7536 0.7475
Ni4 Ni 0.5000 0.0000 0.0000
Ni5 Ni 0.5000 0.5000 0.5000
Sn1 Sn 0.2458 0.2513 0.7508
O1 O 0.0031 0.0001 0.7722
O2 O 0.0210 0.5117 0.7286
O3 O 0.2310 0.2889 0.4992
O4 O 0.2337 0.2259 0.9997
O5 O 0.2383 0.7225 0.5163
O6 O 0.2397 0.7947 0.9833
O7 O 0.4708 0.9929 0.7615
O8 O 0.4880 0.5023 0.7304
```

[3]
Calculated powder X-ray diffraction pattern
Compound: Mg14ZnNiO16
Radiation: CuKα
Structure: a GGA+U-relaxed structure

Top 10 peaks for 10 to 90 degrees two-theta, by angle:
2θ 10.4, rel. 13, (0 1 0)
2θ 20.8, rel. 8, (1 0 0)
2θ 23.3, rel. 8, (1 1 0)
2θ 29.7, rel. 7, (1 2 0)
2θ 31.5, rel. 5, (1 1 2)
2θ 36.5, rel. 20, (1 2 2)
2θ 42.4, rel. 100, (2 0 0)
2θ 61.6, rel. 57, (2 4 0)
2θ 73.8, rel. 11, (3 2 2)
2θ 77.6, rel. 17, (2 4 4)

Structural model:
```
data_Mg14ZnNiO16
_chemical_formula_sum 'Mg14 Zn1 Ni1 O16'
_space_group_name_H-M_alt 'P m m m'
_space_group_IT_number 47
_space_group_name_Hall '-P 2 2'
_cell_length_a 4.2612
_cell_length_b 8.5183
_cell_length_c 8.5239
_cell_angle_alpha 90.00
_cell_angle_beta 90.00
_cell_angle_gamma 90.00
loop_
_atom_site_label
_atom_site_type_symbol
_atom_site_fract_x
_atom_site_fract_y
_atom_site_fract_z
Mg1 Mg 0.0000 0.0000 0.0000
Mg2 Mg 0.0000 0.0000 0.5000
Mg3 Mg 0.0000 0.2508 0.2495
Mg4 Mg 0.5000 0.0000 0.2499
Mg5 Mg 0.5000 0.2504 0.5000
Mg6 Mg 0.5000 0.2513 0.0000
Mg7 Mg 0.5000 0.5000 0.2490
Zn1 Zn 0.0000 0.5000 0.5000
Ni1 Ni 0.0000 0.5000 0.0000
O1 O 0.0000 0.0000 0.2497
O2 O 0.0000 0.2469 0.5000
O3 O 0.0000 0.2491 0.0000
O4 O 0.0000 0.5000 0.2473
O5 O 0.5000 0.0000 0.0000
O6 O 0.5000 0.0000 0.5000
O7 O 0.5000 0.2508 0.2500
O8 O 0.5000 0.5000 0.0000
O9 O 0.5000 0.5000 0.5000
```